1.
This entry pairs a crystal structure of Pm12Er2Mg with its theoretical XRD peak list. Radiation: CuKα. Structure: a DFT-relaxed cell (PBE, Alexandria).
Kinematic intensities with the Lorentz-polarization factor, no thermal factor.

Main lines, low angle first (10 to 80 degrees two-theta):
2theta, I (rel.)
28.16, 100
28.89, 42
30.84, 40
31.35, 76
31.73, 54
32.39, 34
33.80, 46
38.86, 40
51.00, 31
55.40, 49

Cell and atoms:
```
data_Pm12Er2Mg
_symmetry_space_group_name_H-M 'P 4/n b m'
_symmetry_Int_Tables_number 125
_cell_length_a 6.555
_cell_length_b 6.555
_cell_length_c 24.879
_cell_angle_alpha 90.00
_cell_angle_beta 90.00
_cell_angle_gamma 90.00
loop_
_symmetry_equiv_pos_as_xyz
'x,y,z'
'-x,-y,-z'
'-y+1/2,x,z'
'y+1/2,-x,-z'
'-x+1/2,-y+1/2,z'
'x+1/2,y+1/2,-z'
'y,-x+1/2,z'
'-y,x+1/2,-z'
'x,-y+1/2,-z'
'-x,y+1/2,z'
'-y+1/2,-x+1/2,-z'
'y+1/2,x+1/2,z'
'-x+1/2,y,-z'
'x+1/2,-y,z'
'y,x,-z'
'-y,-x,z'
loop_
_atom_site_label
_atom_site_type_symbol
_atom_site_fract_x
_atom_site_fract_y
_atom_site_fract_z
Pm1 Pm 0.065 0.565 0.108
Pm2 Pm 0.082 0.582 0.564
Pm3 Pm 0.250 0.250 0.210
Pm4 Pm 0.250 0.250 0.334
Er1 Er 0.250 0.750 0.268
Mg1 Mg 0.250 0.750 0.000
```

2.
This entry pairs a crystal structure of Pm6ErMg2 with its theoretical XRD peak list. Radiation: CuKα. Structure: a DFT-relaxed cell (PBE, Alexandria).
Kinematic intensities with the Lorentz-polarization factor, no thermal factor.

Main lines, low angle first (10 to 80 degrees two-theta):
2theta, I (rel.)
10.75, 48
26.49, 78
30.11, 52
30.87, 99
31.50, 100
31.92, 44
32.64, 86
35.17, 86
37.11, 55
62.83, 51

Cell and atoms:
```
data_Pm6ErMg2
_symmetry_space_group_name_H-M 'C 1 2/m 1'
_symmetry_Int_Tables_number 12
_symmetry_space_group_name_Hall '-C 2y'
_cell_length_a 16.730
_cell_length_b 3.513
_cell_length_c 11.899
_cell_angle_alpha 90.00
_cell_angle_beta 123.43
_cell_angle_gamma 90.00
loop_
_atom_site_label
_atom_site_type_symbol
_atom_site_fract_x
_atom_site_fract_y
_atom_site_fract_z
Pm1 Pm 0.049 0.000 0.249
Pm2 Pm 0.128 0.500 0.054
Pm3 Pm 0.228 0.000 0.611
Er1 Er 0.000 0.000 0.500
Mg1 Mg 0.151 0.500 0.789
```

3.
This entry pairs a crystal structure of Pm7Er3Mg with its theoretical XRD peak list. Radiation: CuKα. Structure: a DFT-relaxed cell (PBE, Alexandria).
Kinematic intensities with the Lorentz-polarization factor, no thermal factor.

Main lines, low angle first (10 to 80 degrees two-theta):
2theta, I (rel.)
27.95, 15
30.84, 13
31.59, 12
31.89, 93
31.99, 20
32.26, 41
32.39, 100
32.72, 15
45.83, 15
57.04, 14

Cell and atoms:
```
data_Pm7Er3Mg
_symmetry_space_group_name_H-M 'P -1'
_symmetry_Int_Tables_number 2
_symmetry_space_group_name_Hall '-P 1'
_cell_length_a 6.557
_cell_length_b 6.570
_cell_length_c 8.678
_cell_angle_alpha 97.04
_cell_angle_beta 98.71
_cell_angle_gamma 94.63
loop_
_atom_site_label
_atom_site_type_symbol
_atom_site_fract_x
_atom_site_fract_y
_atom_site_fract_z
Pm1 Pm 0.000 0.000 0.000
Pm2 Pm 0.212 0.220 0.716
Pm3 Pm 0.261 0.519 0.096
Pm4 Pm 0.304 0.966 0.355
Er1 Er 0.081 0.695 0.657
Er2 Er 0.500 0.500 0.500
Mg1 Mg 0.500 0.000 0.000
```

4.
This entry pairs a crystal structure of PmEr14Mg with its theoretical XRD peak list. Radiation: CuKα. Structure: a DFT-relaxed cell (PBE, Alexandria).
Kinematic intensities with the Lorentz-polarization factor, no thermal factor.

Main lines, low angle first (10 to 80 degrees two-theta):
2theta, I (rel.)
15.51, 1
31.32, 100
36.25, 17
36.36, 34
52.31, 36
62.15, 14
62.30, 28
65.35, 12
76.95, 2
77.22, 4

Cell and atoms:
```
data_PmEr14Mg
_symmetry_space_group_name_H-M 'P 4/m m m'
_symmetry_Int_Tables_number 123
_symmetry_space_group_name_Hall '-P 4 2'
_cell_length_a 6.989
_cell_length_b 6.989
_cell_length_c 9.913
_cell_angle_alpha 90.00
_cell_angle_beta 90.00
_cell_angle_gamma 90.00
loop_
_atom_site_label
_atom_site_type_symbol
_atom_site_fract_x
_atom_site_fract_y
_atom_site_fract_z
Pm1 Pm 0.000 0.000 0.000
Er1 Er 0.000 0.000 0.500
Er2 Er 0.000 0.500 0.000
Er3 Er 0.000 0.500 0.500
Er4 Er 0.249 0.249 0.251
Er5 Er 0.500 0.500 0.500
Mg1 Mg 0.500 0.500 0.000
```

5.
This entry pairs a crystal structure of Pm4Er4Mg with its theoretical XRD peak list. Radiation: CuKα. Structure: a DFT-relaxed cell (PBE, Alexandria).
Kinematic intensities with the Lorentz-polarization factor, no thermal factor.

Main lines, low angle first (10 to 80 degrees two-theta):
2theta, I (rel.)
28.72, 20
31.38, 43
31.41, 42
31.69, 41
31.95, 100
32.14, 50
45.77, 30
56.80, 21
56.97, 16
57.18, 19

Cell and atoms:
```
data_Pm4Er4Mg
_symmetry_space_group_name_H-M 'P -1'
_symmetry_Int_Tables_number 2
_symmetry_space_group_name_Hall '-P 1'
_cell_length_a 6.655
_cell_length_b 8.660
_cell_length_c 10.304
_cell_angle_alpha 82.97
_cell_angle_beta 78.90
_cell_angle_gamma 79.08
loop_
_atom_site_label
_atom_site_type_symbol
_atom_site_fract_x
_atom_site_fract_y
_atom_site_fract_z
Pm1 Pm 0.051 0.203 0.353
Pm2 Pm 0.222 0.507 0.077
Pm3 Pm 0.277 0.493 0.428
Pm4 Pm 0.413 0.833 0.807
Er1 Er 0.083 0.168 0.699
Er2 Er 0.119 0.131 0.038
Er3 Er 0.387 0.868 0.458
Er4 Er 0.442 0.801 0.148
Mg1 Mg 0.255 0.493 0.752
```

6.
This entry pairs a crystal structure of PmEr3Mg6 with its theoretical XRD peak list. Radiation: CuKα. Structure: a DFT-relaxed cell (PBE, Alexandria).
Kinematic intensities with the Lorentz-polarization factor, no thermal factor.

Main lines, low angle first (10 to 80 degrees two-theta):
2theta, I (rel.)
23.72, 100
33.71, 90
33.85, 59
33.97, 31
41.83, 15
48.61, 22
54.58, 14
60.17, 17
60.48, 27
60.67, 22

Cell and atoms:
```
data_PmEr3Mg6
_symmetry_space_group_name_H-M 'P 1 21/m 1'
_symmetry_Int_Tables_number 11
_symmetry_space_group_name_Hall '-P 2yb'
_cell_length_a 9.234
_cell_length_b 5.278
_cell_length_c 11.261
_cell_angle_alpha 90.00
_cell_angle_beta 106.01
_cell_angle_gamma 90.00
loop_
_atom_site_label
_atom_site_type_symbol
_atom_site_fract_x
_atom_site_fract_y
_atom_site_fract_z
Pm1 Pm 0.054 0.250 0.396
Er1 Er 0.251 0.250 0.997
Er2 Er 0.352 0.750 0.799
Er3 Er 0.456 0.250 0.603
Mg1 Mg 0.050 0.750 0.905
Mg2 Mg 0.147 0.750 0.196
Mg3 Mg 0.148 0.250 0.703
Mg4 Mg 0.250 0.750 0.495
Mg5 Mg 0.346 0.250 0.294
Mg6 Mg 0.444 0.750 0.101
```

7.
This entry pairs a crystal structure of PmEr6Mg2 with its theoretical XRD peak list. Radiation: CuKα. Structure: a DFT-relaxed cell (PBE, Alexandria).
Kinematic intensities with the Lorentz-polarization factor, no thermal factor.

Main lines, low angle first (10 to 80 degrees two-theta):
2theta, I (rel.)
29.77, 14
30.14, 100
34.55, 27
37.28, 36
37.46, 9
48.42, 15
53.75, 12
53.88, 13
62.86, 25
65.49, 9

Cell and atoms:
```
data_PmEr6Mg2
_symmetry_space_group_name_H-M 'P 4/m m m'
_symmetry_Int_Tables_number 123
_symmetry_space_group_name_Hall '-P 4 2'
_cell_length_a 4.824
_cell_length_b 4.824
_cell_length_c 12.005
_cell_angle_alpha 90.00
_cell_angle_beta 90.00
_cell_angle_gamma 90.00
loop_
_atom_site_label
_atom_site_type_symbol
_atom_site_fract_x
_atom_site_fract_y
_atom_site_fract_z
Pm1 Pm 0.000 0.000 0.000
Er1 Er 0.000 0.000 0.500
Er2 Er 0.000 0.500 0.290
Er3 Er 0.500 0.500 0.500
Mg1 Mg 0.500 0.500 0.114
```

8.
This entry pairs a crystal structure of Pm2Pr4ErMg with its theoretical XRD peak list. Radiation: CuKα. Structure: a DFT-relaxed cell (PBE, Alexandria).
Kinematic intensities with the Lorentz-polarization factor, no thermal factor.

Main lines, low angle first (10 to 80 degrees two-theta):
2theta, I (rel.)
17.35, 4
30.32, 100
35.09, 34
35.25, 17
50.48, 12
50.59, 24
60.02, 29
60.23, 14
63.06, 12
74.17, 4

Cell and atoms:
```
data_Pm2Pr4ErMg
_symmetry_space_group_name_H-M 'P 4/m m m'
_symmetry_Int_Tables_number 123
_symmetry_space_group_name_Hall '-P 4 2'
_cell_length_a 5.114
_cell_length_b 5.114
_cell_length_c 10.183
_cell_angle_alpha 90.00
_cell_angle_beta 90.00
_cell_angle_gamma 90.00
loop_
_atom_site_label
_atom_site_type_symbol
_atom_site_fract_x
_atom_site_fract_y
_atom_site_fract_z
Pm1 Pm 0.000 0.000 0.000
Pm2 Pm 0.500 0.500 0.500
Pr1 Pr 0.000 0.500 0.248
Er1 Er 0.000 0.000 0.500
Mg1 Mg 0.500 0.500 0.000
```

9.
This entry pairs a crystal structure of PmPrEr2Mg with its theoretical XRD peak list. Radiation: CuKα. Structure: a DFT-relaxed cell (PBE, Alexandria).
Kinematic intensities with the Lorentz-polarization factor, no thermal factor.

Main lines, low angle first (10 to 80 degrees two-theta):
2theta, I (rel.)
31.06, 100
35.84, 17
36.02, 17
36.18, 16
51.84, 18
51.97, 12
61.38, 7
61.52, 7
61.62, 7
61.90, 14

Cell and atoms:
```
data_PmPrEr2Mg
_symmetry_space_group_name_H-M 'C 1 2/m 1'
_symmetry_Int_Tables_number 12
_symmetry_space_group_name_Hall '-C 2y'
_cell_length_a 11.177
_cell_length_b 4.966
_cell_length_c 11.178
_cell_angle_alpha 90.00
_cell_angle_beta 90.34
_cell_angle_gamma 90.00
loop_
_atom_site_label
_atom_site_type_symbol
_atom_site_fract_x
_atom_site_fract_y
_atom_site_fract_z
Pm1 Pm 0.247 0.000 0.244
Pr1 Pr 0.047 0.500 0.348
Er1 Er 0.148 0.500 0.047
Er2 Er 0.155 0.000 0.551
Mg1 Mg 0.054 0.000 0.861
```

10.
This entry pairs a crystal structure of Pm2SmEr4Mg with its theoretical XRD peak list. Radiation: CuKα. Structure: a DFT-relaxed cell (PBE, Alexandria).
Kinematic intensities with the Lorentz-polarization factor, no thermal factor.

Main lines, low angle first (10 to 80 degrees two-theta):
2theta, I (rel.)
19.94, 3
31.03, 100
35.47, 17
36.23, 33
51.60, 24
52.17, 12
60.93, 15
61.95, 28
64.68, 12
76.91, 4

Cell and atoms:
```
data_Pm2SmEr4Mg
_symmetry_space_group_name_H-M 'P 4/m m m'
_symmetry_Int_Tables_number 123
_symmetry_space_group_name_Hall '-P 4 2'
_cell_length_a 4.959
_cell_length_b 4.959
_cell_length_c 10.124
_cell_angle_alpha 90.00
_cell_angle_beta 90.00
_cell_angle_gamma 90.00
loop_
_atom_site_label
_atom_site_type_symbol
_atom_site_fract_x
_atom_site_fract_y
_atom_site_fract_z
Pm1 Pm 0.000 0.000 0.000
Pm2 Pm 0.500 0.500 0.500
Sm1 Sm 0.000 0.000 0.500
Er1 Er 0.000 0.500 0.248
Mg1 Mg 0.500 0.500 0.000
```

11.
This entry pairs a crystal structure of TbPm2Er4Mg with its theoretical XRD peak list. Radiation: CuKα. Structure: a DFT-relaxed cell (PBE, Alexandria).
Kinematic intensities with the Lorentz-polarization factor, no thermal factor.

Main lines, low angle first (10 to 80 degrees two-theta):
2theta, I (rel.)
19.98, 3
31.10, 100
35.62, 17
36.29, 33
51.76, 24
52.26, 12
61.18, 15
62.08, 28
64.85, 12
77.05, 4

Cell and atoms:
```
data_TbPm2Er4Mg
_symmetry_space_group_name_H-M 'P 4/m m m'
_symmetry_Int_Tables_number 123
_symmetry_space_group_name_Hall '-P 4 2'
_cell_length_a 4.951
_cell_length_b 4.951
_cell_length_c 10.083
_cell_angle_alpha 90.00
_cell_angle_beta 90.00
_cell_angle_gamma 90.00
loop_
_atom_site_label
_atom_site_type_symbol
_atom_site_fract_x
_atom_site_fract_y
_atom_site_fract_z
Tb1 Tb 0.000 0.000 0.000
Pm1 Pm 0.000 0.000 0.500
Pm2 Pm 0.500 0.500 0.000
Er1 Er 0.000 0.500 0.251
Mg1 Mg 0.500 0.500 0.500
```

12.
This entry pairs a crystal structure of Pm2YEr4Mg with its theoretical XRD peak list. Radiation: CuKα. Structure: a DFT-relaxed cell (PBE, Alexandria).
Kinematic intensities with the Lorentz-polarization factor, no thermal factor.

Main lines, low angle first (10 to 80 degrees two-theta):
2theta, I (rel.)
19.96, 8
31.08, 100
35.65, 17
36.23, 33
51.74, 24
52.17, 12
61.21, 14
61.92, 14
62.03, 14
64.79, 12

Cell and atoms:
```
data_Pm2YEr4Mg
_symmetry_space_group_name_H-M 'P m m m'
_symmetry_Int_Tables_number 47
_symmetry_space_group_name_Hall '-P 2 2'
_cell_length_a 4.954
_cell_length_b 4.965
_cell_length_c 10.073
_cell_angle_alpha 90.00
_cell_angle_beta 90.00
_cell_angle_gamma 90.00
loop_
_atom_site_label
_atom_site_type_symbol
_atom_site_fract_x
_atom_site_fract_y
_atom_site_fract_z
Pm1 Pm 0.000 0.000 0.000
Pm2 Pm 0.500 0.500 0.500
Y1 Y 0.000 0.000 0.500
Er1 Er 0.000 0.500 0.248
Er2 Er 0.500 0.000 0.249
Mg1 Mg 0.500 0.500 0.000
```